Record 1
Structure and calculated powder XRD pattern of KFe2I6 (a DFT-relaxed cell (GGA-PBE, Alexandria); Cu Kα (weighted mean of Kα1 and Kα2)).
Lines closer than 0.1° are merged.

Structural model:
```
data_KFe2I6
_chemical_formula_sum 'K2 Fe4 I12'
_cell_length_a 10.8268
_cell_length_b 10.8268
_cell_length_c 7.4258
_cell_angle_alpha 97.36
_cell_angle_beta 97.36
_cell_angle_gamma 90.22
_symmetry_space_group_name_H-M 'P 1'
_symmetry_Int_Tables_number 1
_symmetry_space_group_name_Hall 'P 1'
loop_
_atom_site_label
_atom_site_type_symbol
_atom_site_fract_x
_atom_site_fract_y
_atom_site_fract_z
_atom_site_occupancy
K1 K 0.1250 0.8750 0.7500 1
K2 K 0.8750 0.1250 0.2500 1
Fe1 Fe 0.2238 0.3711 0.7376 1
Fe2 Fe 0.3711 0.2238 0.2376 1
Fe3 Fe 0.6289 0.7762 0.7624 1
Fe4 Fe 0.7762 0.6289 0.2624 1
I1 I 0.0476 0.2056 0.6914 1
I2 I 0.1660 0.5753 0.9089 1
I3 I 0.2056 0.0476 0.1914 1
I4 I 0.2839 0.4235 0.4180 1
I5 I 0.4235 0.2839 0.9180 1
I6 I 0.4247 0.8340 0.5911 1
I7 I 0.5753 0.1660 0.4089 1
I8 I 0.5765 0.7161 0.0820 1
I9 I 0.7161 0.5765 0.5820 1
I10 I 0.7944 0.9524 0.8086 1
I11 I 0.8340 0.4247 0.0911 1
I12 I 0.9524 0.7944 0.3086 1
```

Main lines, by angle (2θ from 10° to 90°):
2θ = 16.76°, intensity 320; 2θ = 18.63°, intensity 230; 2θ = 22.62°, intensity 1000; 2θ = 23.68°, intensity 537; 2θ = 24.72°, intensity 196; 2θ = 25.11°, intensity 441; 2θ = 26.27°, intensity 560; 2θ = 29.07°, intensity 264; 2θ = 29.76°, intensity 332; 2θ = 38.65°, intensity 421; 2θ = 44.06°, intensity 238; 2θ = 45.38°, intensity 236

=====

Record 2
Structure and calculated powder XRD pattern of Pr2Ga3Pd (a DFT-relaxed cell (GGA-PBE, Alexandria); Cu Kα (weighted mean of Kα1 and Kα2)).
Lines closer than 0.1° are merged.

Structural model:
```
data_Pr2Ga3Pd
_chemical_formula_sum 'Pr4 Ga6 Pd2'
_cell_length_a 8.9939
_cell_length_b 8.7164
_cell_length_c 5.9427
_cell_angle_alpha 72.93
_cell_angle_beta 67.89
_cell_angle_gamma 39.17
_symmetry_space_group_name_H-M 'P 1'
_symmetry_Int_Tables_number 1
_symmetry_space_group_name_Hall 'P 1'
loop_
_atom_site_label
_atom_site_type_symbol
_atom_site_fract_x
_atom_site_fract_y
_atom_site_fract_z
_atom_site_occupancy
Pr1 Pr 0.2367 0.7633 0.7633 1
Pr2 Pr 0.2500 0.2500 0.2500 1
Pr3 Pr 0.7500 0.7500 0.7500 1
Pr4 Pr 0.7633 0.2367 0.2367 1
Ga1 Ga 0.1683 0.6646 0.3354 1
Ga2 Ga 0.3350 0.3350 0.6650 1
Ga3 Ga 0.3354 0.8317 0.1683 1
Ga4 Ga 0.6646 0.1683 0.8317 1
Ga5 Ga 0.6650 0.6650 0.3350 1
Ga6 Ga 0.8317 0.3354 0.6646 1
Pd1 Pd 0.1686 0.1686 0.8314 1
Pd2 Pd 0.8314 0.8314 0.1686 1
```

Main lines, by angle (2θ from 10° to 90°):
2θ = 22.85°, intensity 95; 2θ = 32.51°, intensity 1000; 2θ = 40.10°, intensity 360; 2θ = 40.22°, intensity 174; 2θ = 46.59°, intensity 118; 2θ = 52.49°, intensity 102; 2θ = 52.61°, intensity 167; 2θ = 63.12°, intensity 180; 2θ = 63.20°, intensity 91; 2θ = 68.05°, intensity 84; 2θ = 68.13°, intensity 83; 2θ = 68.26°, intensity 76

=====

Record 3
Structure and calculated powder XRD pattern of Ag2IrO2F4 (a DFT-relaxed cell (GGA-PBE, Alexandria); Cu Kα (weighted mean of Kα1 and Kα2)).
Lines closer than 0.1° are merged.

Structural model:
```
data_Ag2IrO2F4
_chemical_formula_sum 'Ag2 Ir1 O2 F4'
_cell_length_a 5.7079
_cell_length_b 5.7079
_cell_length_c 4.8187
_cell_angle_alpha 104.87
_cell_angle_beta 104.87
_cell_angle_gamma 62.35
_symmetry_space_group_name_H-M 'P 1'
_symmetry_Int_Tables_number 1
_symmetry_space_group_name_Hall 'P 1'
loop_
_atom_site_label
_atom_site_type_symbol
_atom_site_fract_x
_atom_site_fract_y
_atom_site_fract_z
_atom_site_occupancy
Ag1 Ag 0.1519 0.1519 0.3146 1
Ag2 Ag 0.8481 0.8481 0.6854 1
Ir1 Ir 0.5000 0.5000 0.0000 1
O1 O 0.3433 0.3433 0.6811 1
O2 O 0.6567 0.6567 0.3189 1
F1 F 0.1614 0.6731 0.1643 1
F2 F 0.3269 0.8386 0.8357 1
F3 F 0.6731 0.1614 0.1643 1
F4 F 0.8386 0.3269 0.8357 1
```

Main lines, by angle (2θ from 10° to 90°):
2θ = 19.05°, intensity 179; 2θ = 22.74°, intensity 1000; 2θ = 28.43°, intensity 946; 2θ = 30.25°, intensity 394; 2θ = 32.57°, intensity 664; 2θ = 38.17°, intensity 728; 2θ = 40.49°, intensity 386; 2θ = 49.18°, intensity 157; 2θ = 49.41°, intensity 238; 2θ = 52.62°, intensity 182; 2θ = 56.43°, intensity 221; 2θ = 67.79°, intensity 169

=====

Record 4
Structure and calculated powder XRD pattern of BaCaAs2 (a DFT-relaxed cell (GGA-PBE, Alexandria); Cu Kα (weighted mean of Kα1 and Kα2)).
Lines closer than 0.1° are merged.

Structural model:
```
data_BaCaAs2
_chemical_formula_sum 'Ba1 Ca1 As2'
_cell_length_a 6.1235
_cell_length_b 6.1235
_cell_length_c 4.8683
_cell_angle_alpha 97.92
_cell_angle_beta 97.92
_cell_angle_gamma 42.51
_symmetry_space_group_name_H-M 'P 1'
_symmetry_Int_Tables_number 1
_symmetry_space_group_name_Hall 'P 1'
loop_
_atom_site_label
_atom_site_type_symbol
_atom_site_fract_x
_atom_site_fract_y
_atom_site_fract_z
_atom_site_occupancy
Ba1 Ba 0.0000 0.0000 0.0000 1
Ca1 Ca 0.2550 0.2550 0.4995 1
As1 As 0.5437 0.5437 0.5327 1
As2 As 0.7227 0.7227 0.9069 1
```

Main lines, by angle (2θ from 10° to 90°):
2θ = 15.70°, intensity 289; 2θ = 18.43°, intensity 176; 2θ = 27.68°, intensity 1000; 2θ = 29.24°, intensity 322; 2θ = 31.16°, intensity 164; 2θ = 31.71°, intensity 365; 2θ = 34.53°, intensity 486; 2θ = 37.35°, intensity 246; 2θ = 38.27°, intensity 456; 2θ = 40.65°, intensity 270; 2θ = 45.78°, intensity 175; 2θ = 52.45°, intensity 170

=====

Record 5
Structure and calculated powder XRD pattern of Ho2Cd3Pb3 (a DFT-relaxed cell (GGA-PBE, Alexandria); Cu Kα (weighted mean of Kα1 and Kα2)).
Lines closer than 0.1° are merged.

Structural model:
```
data_Ho2Cd3Pb3
_chemical_formula_sum 'Ho2 Cd3 Pb3'
_cell_length_a 4.6653
_cell_length_b 4.8768
_cell_length_c 9.1056
_cell_angle_alpha 90.00
_cell_angle_beta 90.00
_cell_angle_gamma 90.00
_symmetry_space_group_name_H-M 'P 1'
_symmetry_Int_Tables_number 1
_symmetry_space_group_name_Hall 'P 1'
loop_
_atom_site_label
_atom_site_type_symbol
_atom_site_fract_x
_atom_site_fract_y
_atom_site_fract_z
_atom_site_occupancy
Ho1 Ho 0.0000 0.0000 0.2505 1
Ho2 Ho 0.0000 0.0000 0.7495 1
Cd1 Cd 0.0000 0.5000 0.0000 1
Cd2 Cd 0.5000 0.5000 0.2368 1
Cd3 Cd 0.5000 0.5000 0.7632 1
Pb1 Pb 0.0000 0.5000 0.5000 1
Pb2 Pb 0.5000 0.0000 0.0000 1
Pb3 Pb 0.5000 0.0000 0.5000 1
```

Main lines, by angle (2θ from 10° to 90°):
2θ = 33.06°, intensity 1000; 2θ = 36.86°, intensity 188; 2θ = 38.60°, intensity 166; 2θ = 39.59°, intensity 151; 2θ = 54.43°, intensity 122; 2θ = 55.20°, intensity 115; 2θ = 56.48°, intensity 107; 2θ = 64.01°, intensity 149; 2θ = 66.35°, intensity 134; 2θ = 67.71°, intensity 122; 2θ = 69.37°, intensity 116; 2θ = 89.92°, intensity 63

=====

Record 6
Structure and calculated powder XRD pattern of CsMo3I7 (a DFT-relaxed cell (GGA-PBE, Alexandria); Cu Kα (weighted mean of Kα1 and Kα2)).
Lines closer than 0.1° are merged.

Structural model:
```
data_CsMo3I7
_chemical_formula_sum 'Cs4 Mo12 I28'
_cell_length_a 10.9631
_cell_length_b 10.9631
_cell_length_c 17.4080
_cell_angle_alpha 90.00
_cell_angle_beta 90.00
_cell_angle_gamma 120.00
_symmetry_space_group_name_H-M 'P 1'
_symmetry_Int_Tables_number 1
_symmetry_space_group_name_Hall 'P 1'
loop_
_atom_site_label
_atom_site_type_symbol
_atom_site_fract_x
_atom_site_fract_y
_atom_site_fract_z
_atom_site_occupancy
Cs1 Cs 0.0000 0.0000 0.0000 1
Cs2 Cs 0.0000 0.0000 0.5000 1
Cs3 Cs 0.3333 0.6667 0.2500 1
Cs4 Cs 0.6667 0.3333 0.7500 1
Mo1 Mo 0.1907 0.5257 0.6873 1
Mo2 Mo 0.1907 0.6650 0.8127 1
Mo3 Mo 0.3350 0.5257 0.8127 1
Mo4 Mo 0.3350 0.8093 0.6873 1
Mo5 Mo 0.4743 0.6650 0.6873 1
Mo6 Mo 0.4743 0.8093 0.8127 1
Mo7 Mo 0.5257 0.1907 0.1873 1
Mo8 Mo 0.5257 0.3350 0.3127 1
Mo9 Mo 0.6650 0.1907 0.3127 1
Mo10 Mo 0.6650 0.4743 0.1873 1
Mo11 Mo 0.8093 0.3350 0.1873 1
Mo12 Mo 0.8093 0.4743 0.3127 1
I1 I 0.0345 0.3465 0.0954 1
I2 I 0.0345 0.6881 0.4046 1
I3 I 0.0415 0.3691 0.8176 1
I4 I 0.0415 0.6723 0.6824 1
I5 I 0.3119 0.3465 0.4046 1
I6 I 0.3119 0.9655 0.0954 1
I7 I 0.3277 0.3691 0.6824 1
I8 I 0.3277 0.9585 0.8176 1
I9 I 0.3333 0.6667 0.5541 1
I10 I 0.3333 0.6667 0.9459 1
I11 I 0.3465 0.0345 0.5954 1
I12 I 0.3465 0.3119 0.9046 1
I13 I 0.3691 0.0415 0.3176 1
I14 I 0.3691 0.3277 0.1824 1
I15 I 0.6309 0.6723 0.8176 1
I16 I 0.6309 0.9585 0.6824 1
I17 I 0.6535 0.6881 0.0954 1
I18 I 0.6535 0.9655 0.4046 1
I19 I 0.6667 0.3333 0.0541 1
I20 I 0.6667 0.3333 0.4459 1
I21 I 0.6723 0.0415 0.1824 1
I22 I 0.6723 0.6309 0.3176 1
I23 I 0.6881 0.0345 0.9046 1
I24 I 0.6881 0.6535 0.5954 1
I25 I 0.9585 0.3277 0.3176 1
I26 I 0.9585 0.6309 0.1824 1
I27 I 0.9655 0.3119 0.5954 1
I28 I 0.9655 0.6535 0.9046 1
```

Main lines, by angle (2θ from 10° to 90°):
2θ = 10.16°, intensity 236; 2θ = 10.61°, intensity 864; 2θ = 13.80°, intensity 300; 2θ = 24.22°, intensity 215; 2θ = 26.14°, intensity 1000; 2θ = 28.20°, intensity 908; 2θ = 29.26°, intensity 185; 2θ = 37.38°, intensity 193; 2θ = 38.83°, intensity 593; 2θ = 44.43°, intensity 374; 2θ = 48.67°, intensity 159; 2θ = 80.72°, intensity 163

=====

Record 7
Structure and calculated powder XRD pattern of Na3Ti2Cl8 (a DFT-relaxed cell (GGA-PBE, Alexandria); Cu Kα (weighted mean of Kα1 and Kα2)).
Lines closer than 0.1° are merged.

Structural model:
```
data_Na3Ti2Cl8
_chemical_formula_sum 'Na3 Ti2 Cl8'
_cell_length_a 7.7022
_cell_length_b 7.7022
_cell_length_c 6.7899
_cell_angle_alpha 103.10
_cell_angle_beta 103.10
_cell_angle_gamma 58.19
_symmetry_space_group_name_H-M 'P 1'
_symmetry_Int_Tables_number 1
_symmetry_space_group_name_Hall 'P 1'
loop_
_atom_site_label
_atom_site_type_symbol
_atom_site_fract_x
_atom_site_fract_y
_atom_site_fract_z
_atom_site_occupancy
Na1 Na 0.0000 0.0000 0.0000 1
Na2 Na 0.2567 0.7433 0.5000 1
Na3 Na 0.7433 0.2567 0.5000 1
Ti1 Ti 0.2511 0.2511 0.5050 1
Ti2 Ti 0.7489 0.7489 0.4950 1
Cl1 Cl 0.0949 0.6075 0.7177 1
Cl2 Cl 0.1277 0.1277 0.7217 1
Cl3 Cl 0.3663 0.3663 0.2881 1
Cl4 Cl 0.3925 0.9051 0.2823 1
Cl5 Cl 0.6075 0.0949 0.7177 1
Cl6 Cl 0.6337 0.6337 0.7119 1
Cl7 Cl 0.8723 0.8723 0.2783 1
Cl8 Cl 0.9051 0.3925 0.2823 1
```

Main lines, by angle (2θ from 10° to 90°):
2θ = 13.50°, intensity 774; 2θ = 13.63°, intensity 178; 2θ = 27.25°, intensity 108; 2θ = 27.47°, intensity 105; 2θ = 32.33°, intensity 1000; 2θ = 33.41°, intensity 441; 2θ = 41.62°, intensity 182; 2θ = 44.03°, intensity 148; 2θ = 47.02°, intensity 278; 2θ = 47.33°, intensity 266; 2θ = 48.62°, intensity 149; 2θ = 60.28°, intensity 159

=====

Record 8
Structure and calculated powder XRD pattern of CsLaZr6CCl18 (a DFT-relaxed cell (GGA-PBE, Alexandria); Cu Kα (weighted mean of Kα1 and Kα2)).
Lines closer than 0.1° are merged.

Structural model:
```
data_CsLaZr6CCl18
_chemical_formula_sum 'Cs2 La2 Zr12 C2 Cl36'
_cell_length_a 9.7865
_cell_length_b 9.7865
_cell_length_c 18.3493
_cell_angle_alpha 90.00
_cell_angle_beta 90.00
_cell_angle_gamma 120.00
_symmetry_space_group_name_H-M 'P 1'
_symmetry_Int_Tables_number 1
_symmetry_space_group_name_Hall 'P 1'
loop_
_atom_site_label
_atom_site_type_symbol
_atom_site_fract_x
_atom_site_fract_y
_atom_site_fract_z
_atom_site_occupancy
Cs1 Cs 0.3333 0.6667 0.2500 1
Cs2 Cs 0.6667 0.3333 0.7500 1
La1 La 0.3333 0.6667 0.7500 1
La2 La 0.6667 0.3333 0.2500 1
Zr1 Zr 0.0415 0.2084 0.9281 1
Zr2 Zr 0.0415 0.8331 0.5719 1
Zr3 Zr 0.1669 0.2084 0.5719 1
Zr4 Zr 0.1669 0.9585 0.9281 1
Zr5 Zr 0.2084 0.0415 0.4281 1
Zr6 Zr 0.2084 0.1669 0.0719 1
Zr7 Zr 0.7916 0.8331 0.9281 1
Zr8 Zr 0.7916 0.9585 0.5719 1
Zr9 Zr 0.8331 0.0415 0.0719 1
Zr10 Zr 0.8331 0.7916 0.4281 1
Zr11 Zr 0.9585 0.1669 0.4281 1
Zr12 Zr 0.9585 0.7916 0.0719 1
C1 C 0.0000 0.0000 0.0000 1
C2 C 0.0000 0.0000 0.5000 1
Cl1 Cl 0.0458 0.2318 0.1592 1
Cl2 Cl 0.0458 0.8140 0.3408 1
Cl3 Cl 0.0831 0.4483 0.8383 1
Cl4 Cl 0.0831 0.6348 0.6617 1
Cl5 Cl 0.1411 0.4155 0.4992 1
Cl6 Cl 0.1411 0.7256 0.0008 1
Cl7 Cl 0.1860 0.2318 0.3408 1
Cl8 Cl 0.1860 0.9542 0.1592 1
Cl9 Cl 0.2318 0.0458 0.6592 1
Cl10 Cl 0.2318 0.1860 0.8408 1
Cl11 Cl 0.2744 0.4155 0.0008 1
Cl12 Cl 0.2744 0.8589 0.4992 1
Cl13 Cl 0.3652 0.4483 0.6617 1
Cl14 Cl 0.3652 0.9169 0.8383 1
Cl15 Cl 0.4155 0.1411 0.9992 1
Cl16 Cl 0.4155 0.2744 0.5008 1
Cl17 Cl 0.4483 0.0831 0.3383 1
Cl18 Cl 0.4483 0.3652 0.1617 1
Cl19 Cl 0.5517 0.6348 0.8383 1
Cl20 Cl 0.5517 0.9169 0.6617 1
Cl21 Cl 0.5845 0.7256 0.4992 1
Cl22 Cl 0.5845 0.8589 0.0008 1
Cl23 Cl 0.6348 0.0831 0.1617 1
Cl24 Cl 0.6348 0.5517 0.3383 1
Cl25 Cl 0.7256 0.1411 0.5008 1
Cl26 Cl 0.7256 0.5845 0.9992 1
Cl27 Cl 0.7682 0.8140 0.1592 1
Cl28 Cl 0.7682 0.9542 0.3408 1
Cl29 Cl 0.8140 0.0458 0.8408 1
Cl30 Cl 0.8140 0.7682 0.6592 1
Cl31 Cl 0.8589 0.2744 0.9992 1
Cl32 Cl 0.8589 0.5845 0.5008 1
Cl33 Cl 0.9169 0.3652 0.3383 1
Cl34 Cl 0.9169 0.5517 0.1617 1
Cl35 Cl 0.9542 0.1860 0.6592 1
Cl36 Cl 0.9542 0.7682 0.8408 1
```

Main lines, by angle (2θ from 10° to 90°):
2θ = 10.44°, intensity 618; 2θ = 14.23°, intensity 1000; 2θ = 20.57°, intensity 493; 2θ = 22.03°, intensity 291; 2θ = 26.64°, intensity 274; 2θ = 27.85°, intensity 259; 2θ = 31.53°, intensity 245; 2θ = 33.18°, intensity 222; 2θ = 34.14°, intensity 650; 2θ = 40.78°, intensity 435; 2θ = 41.85°, intensity 228; 2θ = 49.27°, intensity 229